# 1
Diffraction record for RbBaHg6. The X-ray diffraction stick pattern is calculated, not measured: it uses a structure optimized by DFT (GGA-PBE) and Cu Ka.
Peak positions follow from Bragg's law for the DFT cell and can differ from measured ones.

Most intense lines, 5 to 70 degrees two-theta, in order of rising 2θ:
index  two_theta  I/Imax
1 0 0  14.31  13
2 0 0  28.84  24
0 0 2  32.78  25
2 0 1  33.27  100
2 1 1  42.01  7
2 0 2  44.22  15
3 0 1  47.08  6
2 2 0  51.11  18
2 0 3  58.83  20
2 2 2  62.06  20
4 0 1  62.36  13
0 0 4  68.73  5

```
data_RbBaHg6
_symmetry_space_group_name_H-M 'P -6 m 2'
_symmetry_Int_Tables_number 187
_symmetry_space_group_name_Hall 'P -6 2'
_cell_length_a 7.1482
_cell_length_b 7.1482
_cell_length_c 5.4635
_cell_angle_alpha 90.00
_cell_angle_beta 90.00
_cell_angle_gamma 120.00
loop_
_atom_site_label
_atom_site_type_symbol
_atom_site_fract_x
_atom_site_fract_y
_atom_site_fract_z
_atom_site_occupancy
Rb1 Rb 0.0000 0.0000 0.0000 1
Ba1 Ba 0.6667 0.3333 0.5000 1
Hg1 Hg 0.0315 0.5158 0.0000 1
Hg2 Hg 0.1816 0.3633 0.5000 1
```

# 2
Diffraction record for Dy3P2S. The X-ray diffraction stick pattern is calculated, not measured: it uses a structure optimized by DFT (GGA-PBE) and Cu Ka.
Peak positions follow from Bragg's law for the DFT cell and can differ from measured ones.

Most intense lines, 5 to 70 degrees two-theta, in order of rising 2θ:
index  two_theta  I/Imax
1 0 1  27.46  85
0 1 2  31.81  100
1 0 3  38.08  1
1 1 0  45.61  72
0 2 1  54.06  41
2 0 2  56.68  25
0 1 6  63.34  1
0 2 4  66.47  12

```
data_Dy3P2S
_symmetry_space_group_name_H-M 'P -3 m 1'
_symmetry_Int_Tables_number 164
_symmetry_space_group_name_Hall '-P 3 2"'
_cell_length_a 3.9796
_cell_length_b 3.9796
_cell_length_c 9.7377
_cell_angle_alpha 90.00
_cell_angle_beta 90.00
_cell_angle_gamma 120.00
loop_
_atom_site_label
_atom_site_type_symbol
_atom_site_fract_x
_atom_site_fract_y
_atom_site_fract_z
_atom_site_occupancy
Dy1 Dy 0.0000 0.0000 0.0000 1
Dy2 Dy 0.3333 0.6667 0.6746 1
P1 P 0.3333 0.6667 0.1689 1
S1 S 0.0000 0.0000 0.5000 1
```

# 3
Diffraction record for BaCdSn2Ir. The X-ray diffraction stick pattern is calculated, not measured: it uses a structure optimized by DFT (GGA-PBE) and Cu Ka.
Peak positions follow from Bragg's law for the DFT cell and can differ from measured ones.

Most intense lines, 5 to 70 degrees two-theta, in order of rising 2θ:
index  two_theta  I/Imax
0 0 1  7.72  32
1 1 0  26.21  21
1 0 3  29.90  69
1 1 2  30.58  100
1 0 4  36.54  16
2 0 0  37.40  91
1 1 4  41.23  40
1 0 5  43.80  23
2 1 3  48.60  36
2 2 0  53.93  32
2 1 5  58.92  19
3 1 2  63.27  25

```
data_BaCdSn2Ir
_symmetry_space_group_name_H-M 'P 4/n m m'
_symmetry_Int_Tables_number 129
_cell_length_a 4.809
_cell_length_b 4.809
_cell_length_c 11.446
_cell_angle_alpha 90.00
_cell_angle_beta 90.00
_cell_angle_gamma 90.00
loop_
_symmetry_equiv_pos_as_xyz
'x,y,z'
'-x,-y,-z'
'-y+1/2,x,z'
'y+1/2,-x,-z'
'-x+1/2,-y+1/2,z'
'x+1/2,y+1/2,-z'
'y,-x+1/2,z'
'-y,x+1/2,-z'
'x+1/2,-y,-z'
'-x+1/2,y,z'
'-y,-x,-z'
'y,x,z'
'-x,y+1/2,-z'
'x,-y+1/2,z'
'y+1/2,x+1/2,-z'
'-y+1/2,-x+1/2,z'
loop_
_atom_site_label
_atom_site_type_symbol
_atom_site_fract_x
_atom_site_fract_y
_atom_site_fract_z
_atom_site_occupancy
Ba1 Ba 0.250 0.250 0.240 1
Cd1 Cd 0.250 0.750 0.500 1
Sn1 Sn 0.250 0.250 0.659 1
Sn2 Sn 0.250 0.750 0.000 1
Ir1 Ir 0.250 0.250 0.890 1
```

# 4
Diffraction record for TbDyS2Cl2. The X-ray diffraction stick pattern is calculated, not measured: it uses a structure optimized by DFT (GGA-PBE) and Cu Ka.
Peak positions follow from Bragg's law for the DFT cell and can differ from measured ones.

Most intense lines, 5 to 70 degrees two-theta, in order of rising 2θ:
index  two_theta  I/Imax
0 0 1  10.48  100
0 1 1  19.62  75
1 0 1  24.55  28
0 1 2  26.89  16
1 1 0  27.76  13
1 1 1  29.75  26
1 0 2  30.73  65
0 2 0  33.44  28
0 2 1  35.13  13
1 2 1  41.92  14
1 1 3  42.71  32
1 2 2  46.05  41

```
data_TbDyS2Cl2
_symmetry_space_group_name_H-M 'P m m 2'
_symmetry_Int_Tables_number 25
_cell_length_a 4.015
_cell_length_b 5.359
_cell_length_c 8.441
_cell_angle_alpha 90.00
_cell_angle_beta 90.00
_cell_angle_gamma 90.00
loop_
_symmetry_equiv_pos_as_xyz
'x,y,z'
'-x,-y,z'
'-x,y,z'
'x,-y,z'
loop_
_atom_site_label
_atom_site_type_symbol
_atom_site_fract_x
_atom_site_fract_y
_atom_site_fract_z
_atom_site_occupancy
Tb1 Tb 0.000 0.000 0.000 1
Dy1 Dy 0.500 0.500 0.279 1
S1 S 0.000 0.500 0.056 1
S2 S 0.500 0.000 0.223 1
Cl1 Cl 0.000 0.500 0.488 1
Cl2 Cl 0.500 0.000 0.790 1
```

# 5
Diffraction record for Gd3ErPt4. The X-ray diffraction stick pattern is calculated, not measured: it uses a structure optimized by DFT (GGA-PBE) and Cu Ka.
Peak positions follow from Bragg's law for the DFT cell and can differ from measured ones.

Most intense lines, 5 to 70 degrees two-theta, in order of rising 2θ:
index  two_theta  I/Imax
1 1 1  28.36  20
0 1 2  32.11  100
2 0 -1  34.51  29
2 0 1  34.63  26
1 1 -2  35.96  62
1 1 2  36.08  67
0 2 0  39.85  64
2 1 -1  40.01  57
2 1 1  40.11  57
2 2 -1  53.76  32
0 3 2  67.53  18
1 3 2  69.86  19

```
data_Gd3ErPt4
_symmetry_space_group_name_H-M 'P 1 m 1'
_symmetry_Int_Tables_number 6
_cell_length_a 5.578
_cell_length_b 4.525
_cell_length_c 7.076
_cell_angle_alpha 90.00
_cell_angle_beta 90.29
_cell_angle_gamma 90.00
loop_
_symmetry_equiv_pos_as_xyz
'x,y,z'
'x,-y,z'
loop_
_atom_site_label
_atom_site_type_symbol
_atom_site_fract_x
_atom_site_fract_y
_atom_site_fract_z
_atom_site_occupancy
Gd1 Gd 0.000 0.000 0.000 1
Gd2 Gd 0.218 0.000 0.499 1
Gd3 Gd 0.718 0.500 0.635 1
Er1 Er 0.499 0.500 0.136 1
Pt1 Pt 0.015 0.500 0.271 1
Pt2 Pt 0.206 0.500 0.776 1
Pt3 Pt 0.513 0.000 0.867 1
Pt4 Pt 0.700 0.000 0.356 1
```

# 6
Diffraction record for ScZnCdCu. The X-ray diffraction stick pattern is calculated, not measured: it uses a structure optimized by DFT (GGA-PBE) and Cu Ka.
Peak positions follow from Bragg's law for the DFT cell and can differ from measured ones.

Most intense lines, 5 to 70 degrees two-theta, in order of rising 2θ:
index  two_theta  I/Imax
1 1 1  23.80  7
2 0 0  27.55  7
2 2 0  39.36  100
3 1 1  46.52  3
2 2 2  48.72  2
4 0 0  56.88  16
3 3 1  62.53  1
4 2 0  64.34  3

```
data_ScZnCdCu
_symmetry_space_group_name_H-M 'F -4 3 m'
_symmetry_Int_Tables_number 216
_symmetry_space_group_name_Hall 'F -4 2 3'
_cell_length_a 6.475
_cell_length_b 6.475
_cell_length_c 6.475
_cell_angle_alpha 90.00
_cell_angle_beta 90.00
_cell_angle_gamma 90.00
loop_
_atom_site_label
_atom_site_type_symbol
_atom_site_fract_x
_atom_site_fract_y
_atom_site_fract_z
_atom_site_occupancy
Sc1 Sc 0.000 0.000 0.000 1
Zn1 Zn 0.250 0.250 0.250 1
Cd1 Cd 0.250 0.250 0.750 1
Cu1 Cu 0.000 0.000 0.500 1
```

# 7
Diffraction record for NdF3. The X-ray diffraction stick pattern is calculated, not measured: it uses a structure optimized by DFT (GGA-PBE) and Cu Ka.
Peak positions follow from Bragg's law for the DFT cell and can differ from measured ones.

Most intense lines, 5 to 70 degrees two-theta, in order of rising 2θ:
index  two_theta  I/Imax
0 1 2  22.73  100
1 0 4  30.79  59
1 1 0  33.88  26
1 1 3  38.49  6
2 0 2  41.19  28
0 2 4  46.43  14
1 1 6  50.18  37
0 1 8  52.71  13
1 2 2  54.36  23
2 1 4  58.70  16
3 0 0  60.62  13
2 0 8  64.15  6

```
data_NdF3
_symmetry_space_group_name_H-M 'R -3 c'
_symmetry_Int_Tables_number 167
_symmetry_space_group_name_Hall '-R 3 2"c'
_cell_length_a 5.2919
_cell_length_b 5.2919
_cell_length_c 15.0119
_cell_angle_alpha 90.00
_cell_angle_beta 90.00
_cell_angle_gamma 120.00
loop_
_atom_site_label
_atom_site_type_symbol
_atom_site_fract_x
_atom_site_fract_y
_atom_site_fract_z
_atom_site_occupancy
Nd1 Nd 0.0000 0.0000 0.0000 1
F1 F 0.0000 0.2981 0.2500 1
```

# 8
Diffraction record for DyY2Fe6CoNi2. The X-ray diffraction stick pattern is calculated, not measured: it uses a structure optimized by DFT (GGA-PBE) and Cu Ka.
Peak positions follow from Bragg's law for the DFT cell and can differ from measured ones.

Most intense lines, 5 to 70 degrees two-theta, in order of rising 2θ:
index  two_theta  I/Imax
1 0 7  32.73  31
1 1 0  35.77  61
0 2 1  41.74  28
1 1 6  42.22  100
0 0 12  44.08  16
2 0 5  45.60  16
1 1 9  49.26  8
2 1 7  62.40  9
3 0 0  64.30  15
0 2 13  65.32  7
2 0 14  68.61  9
3 0 6  68.73  19

```
data_DyY2Fe6CoNi2
_symmetry_space_group_name_H-M 'R -3 m'
_symmetry_Int_Tables_number 166
_symmetry_space_group_name_Hall '-R 3 2"'
_cell_length_a 5.0165
_cell_length_b 5.0165
_cell_length_c 24.6504
_cell_angle_alpha 90.00
_cell_angle_beta 90.00
_cell_angle_gamma 120.00
loop_
_atom_site_label
_atom_site_type_symbol
_atom_site_fract_x
_atom_site_fract_y
_atom_site_fract_z
_atom_site_occupancy
Dy1 Dy 0.0000 0.0000 0.0000 1
Y1 Y 0.0000 0.0000 0.1418 1
Fe1 Fe 0.0004 0.5002 0.0820 1
Co1 Co 0.0000 0.0000 0.5000 1
Ni1 Ni 0.0000 0.0000 0.3326 1
```

# 9
Diffraction record for GaAgAs2O7. The X-ray diffraction stick pattern is calculated, not measured: it uses a structure optimized by DFT (GGA-PBE) and Cu Ka.
Peak positions follow from Bragg's law for the DFT cell and can differ from measured ones.

Most intense lines, 5 to 70 degrees two-theta, in order of rising 2θ:
index  two_theta  I/Imax
2 0 -2  27.59  78
1 2 1  28.36  100
0 2 2  28.72  71
2 1 -2  29.64  22
0 1 3  30.82  48
2 2 0  34.30  22
1 2 -3  35.21  28
2 0 2  37.71  25
1 3 -2  37.90  16
1 4 -1  45.55  20
3 3 -3  53.75  15
1 3 4  56.45  18

```
data_GaAgAs2O7
_symmetry_space_group_name_H-M 'P 1 21/c 1'
_symmetry_Int_Tables_number 14
_cell_length_a 7.039
_cell_length_b 8.375
_cell_length_c 9.760
_cell_angle_alpha 90.00
_cell_angle_beta 108.06
_cell_angle_gamma 90.00
loop_
_symmetry_equiv_pos_as_xyz
'x,y,z'
'-x,-y,-z'
'-x,y+1/2,-z+1/2'
'x,-y+1/2,z+1/2'
loop_
_atom_site_label
_atom_site_type_symbol
_atom_site_fract_x
_atom_site_fract_y
_atom_site_fract_z
_atom_site_occupancy
Ga1 Ga 0.217 0.220 0.009 1
Ag1 Ag 0.312 0.636 0.984 1
As1 As 0.019 0.585 0.289 1
As2 As 0.447 0.039 0.798 1
O1 O 0.013 0.242 0.108 1
O2 O 0.022 0.098 0.860 1
O3 O 0.119 0.089 0.389 1
O4 O 0.271 0.619 0.285 1
O5 O 0.328 0.053 0.153 1
O6 O 0.407 0.116 0.630 1
O7 O 0.433 0.181 0.920 1
```

# 10
Diffraction record for Rb2Ni2PtS4. The X-ray diffraction stick pattern is calculated, not measured: it uses a structure optimized by DFT (GGA-PBE) and Cu Ka.
Peak positions follow from Bragg's law for the DFT cell and can differ from measured ones.

Most intense lines, 5 to 70 degrees two-theta, in order of rising 2θ:
index  two_theta  I/Imax
0 0 2  12.87  94
1 1 1  18.36  42
1 1 3  25.99  100
2 0 0  30.16  20
0 4 0  34.20  22
2 2 0  34.77  36
1 3 3  35.67  66
2 2 2  37.22  19
1 3 5  44.61  16
1 5 3  50.25  17
2 2 6  53.46  33
3 3 3  57.20  17

```
data_Rb2Ni2PtS4
_symmetry_space_group_name_H-M 'F m m m'
_symmetry_Int_Tables_number 69
_symmetry_space_group_name_Hall '-F 2 2'
_cell_length_a 5.927
_cell_length_b 10.488
_cell_length_c 13.758
_cell_angle_alpha 90.00
_cell_angle_beta 90.00
_cell_angle_gamma 90.00
loop_
_atom_site_label
_atom_site_type_symbol
_atom_site_fract_x
_atom_site_fract_y
_atom_site_fract_z
_atom_site_occupancy
Rb1 Rb 0.000 0.000 0.156 1
Ni1 Ni 0.250 0.250 0.000 1
Pt1 Pt 0.000 0.000 0.500 1
S1 S 0.000 0.176 0.394 1
```

# 11
Diffraction record for Nb3FeCN. The X-ray diffraction stick pattern is calculated, not measured: it uses a structure optimized by DFT (GGA-PBE) and Cu Ka.
Peak positions follow from Bragg's law for the DFT cell and can differ from measured ones.

Most intense lines, 5 to 70 degrees two-theta, in order of rising 2θ:
index  two_theta  I/Imax
0 0 6  29.47  9
1 0 1  33.53  35
1 0 2  34.63  5
1 0 3  36.41  6
1 0 4  38.77  100
0 0 8  39.65  18
1 0 5  41.64  41
0 1 8  52.61  6
0 1 9  56.90  17
1 1 0  59.23  31
0 1 10  61.46  6
1 1 6  67.53  6

```
data_Nb3FeCN
_symmetry_space_group_name_H-M 'P -3 m 1'
_symmetry_Int_Tables_number 164
_symmetry_space_group_name_Hall '-P 3 2"'
_cell_length_a 3.1199
_cell_length_b 3.1199
_cell_length_c 18.1864
_cell_angle_alpha 90.00
_cell_angle_beta 90.00
_cell_angle_gamma 120.00
loop_
_atom_site_label
_atom_site_type_symbol
_atom_site_fract_x
_atom_site_fract_y
_atom_site_fract_z
_atom_site_occupancy
Nb1 Nb 0.0000 0.0000 0.0000 1
Nb2 Nb 0.0000 0.0000 0.5000 1
Nb3 Nb 0.3333 0.6667 0.1413 1
Nb4 Nb 0.3333 0.6667 0.3586 1
Fe1 Fe 0.0000 0.0000 0.2487 1
C1 C 0.3333 0.6667 0.5746 1
N1 N 0.3333 0.6667 0.9269 1
```

# 12
Diffraction record for ZrMo. The X-ray diffraction stick pattern is calculated, not measured: it uses a structure optimized by DFT (GGA-PBE) and Cu Ka.
Peak positions follow from Bragg's law for the DFT cell and can differ from measured ones.

Most intense lines, 5 to 70 degrees two-theta, in order of rising 2θ:
index  two_theta  I/Imax
0 2 0  37.79  21
2 0 0  38.15  100
2 2 0  54.78  14
0 0 2  55.32  7
1 3 1  68.48  14
3 1 1  68.94  20
2 0 2  69.18  7

```
data_ZrMo
_symmetry_space_group_name_H-M 'C m m m'
_symmetry_Int_Tables_number 65
_symmetry_space_group_name_Hall '-C 2 2'
_cell_length_a 4.719
_cell_length_b 4.761
_cell_length_c 3.321
_cell_angle_alpha 90.00
_cell_angle_beta 90.00
_cell_angle_gamma 90.00
loop_
_atom_site_label
_atom_site_type_symbol
_atom_site_fract_x
_atom_site_fract_y
_atom_site_fract_z
_atom_site_occupancy
Zr1 Zr 0.000 0.000 0.000 1
Mo1 Mo 0.000 0.500 0.500 1
```